1.
Structure and calculated PXRD pattern of Ba2Sr2Pd (a DFT-relaxed cell (PBE, Alexandria); λ = 1.5418 Å (Cu Kα)).
Lines closer than 0.1° are merged.

Principal peaks in the range 10° ≤ 2θ ≤ 80°, sorted by position:
| (hkl) | 2theta | Rel. int. |
| --- | --- | --- |
| 0 0 1 | 14.35 | 30 |
| 1 1 1 | 24.45 | 100 |
| 2 0 0 | 27.99 | 98 |
| 0 0 2 | 28.94 | 45 |
| 2 2 0 | 40.00 | 37 |
| 2 0 2 | 40.70 | 71 |
| 3 1 1 | 47.44 | 33 |
| 2 2 2 | 50.12 | 38 |

Cell and atoms:
```
data_Ba2Sr2Pd
_cell_length_a 6.3759
_cell_length_b 6.3759
_cell_length_c 6.1708
_cell_angle_alpha 90.00
_cell_angle_beta 90.00
_cell_angle_gamma 90.00
_space_group_name_H-M_alt 'P 4/m m m'
_space_group_IT_number 123
_space_group_name_Hall '-P 4 2'
loop_
_atom_site_label
_atom_site_type_symbol
_atom_site_fract_x
_atom_site_fract_y
_atom_site_fract_z
Ba1 Ba 0.0000 0.5000 0.0000
Sr1 Sr 0.0000 0.0000 0.5000
Sr2 Sr 0.5000 0.5000 0.5000
Pd1 Pd 0.0000 0.0000 0.0000
```

***

2.
Structure and calculated PXRD pattern of Ba3Sr5Pd2 (a DFT-relaxed cell (PBE, Alexandria); λ = 1.5418 Å (Cu Kα)).
Lines closer than 0.1° are merged.

Principal peaks in the range 10° ≤ 2θ ≤ 80°, sorted by position:
| (hkl) | 2theta | Rel. int. |
| --- | --- | --- |
| 2 0 2 | 24.54 | 49 |
| 2 4 0 | 24.82 | 48 |
| 0 4 2 | 28.12 | 100 |
| 4 0 0 | 29.46 | 44 |
| 0 0 4 | 39.83 | 20 |
| 4 4 2 | 41.18 | 70 |
| 4 0 4 | 50.31 | 20 |
| 4 8 0 | 50.91 | 18 |

Cell and atoms:
```
data_Ba3Sr5Pd2
_cell_length_a 12.1281
_cell_length_b 17.7952
_cell_length_c 9.0525
_cell_angle_alpha 90.00
_cell_angle_beta 90.00
_cell_angle_gamma 90.00
_space_group_name_H-M_alt 'I b a m'
_space_group_IT_number 72
_space_group_name_Hall '-I 2 2c'
loop_
_atom_site_label
_atom_site_type_symbol
_atom_site_fract_x
_atom_site_fract_y
_atom_site_fract_z
Ba1 Ba 0.0000 0.0000 0.2500
Ba2 Ba 0.2467 0.3728 0.0000
Sr1 Sr 0.0000 0.2448 0.2500
Sr2 Sr 0.0000 0.5000 0.2500
Sr3 Sr 0.2459 0.3749 0.5000
Pd1 Pd 0.0047 0.1316 0.0000
```

***

3.
Structure and calculated PXRD pattern of BaSr4Pd2 (a DFT-relaxed cell (PBE, Alexandria); λ = 1.5418 Å (Cu Kα)).
Lines closer than 0.1° are merged.

Principal peaks in the range 10° ≤ 2θ ≤ 80°, sorted by position:
| (hkl) | 2theta | Rel. int. |
| --- | --- | --- |
| 0 1 1 | 13.06 | 34 |
| 0 0 2 | 24.38 | 47 |
| 0 5 1 | 27.35 | 73 |
| 2 3 1 | 28.09 | 100 |
| 0 4 2 | 31.40 | 28 |
| 2 2 2 | 33.57 | 93 |
| 2 5 1 | 34.41 | 30 |
| 4 0 0 | 41.67 | 29 |

Cell and atoms:
```
data_BaSr4Pd2
_cell_length_a 8.6702
_cell_length_b 18.2205
_cell_length_c 7.3007
_cell_angle_alpha 90.00
_cell_angle_beta 90.00
_cell_angle_gamma 90.00
_space_group_name_H-M_alt 'I m a 2'
_space_group_IT_number 46
loop_
_space_group_symop_operation_xyz
'x,y,z'
'-x,-y,z'
'-x+1/2,y,z'
'x+1/2,-y,z'
'x+1/2,y+1/2,z+1/2'
'-x+1/2,-y+1/2,z+1/2'
'-x,y+1/2,z+1/2'
'x,-y+1/2,z+1/2'
loop_
_atom_site_label
_atom_site_type_symbol
_atom_site_fract_x
_atom_site_fract_y
_atom_site_fract_z
Ba1 Ba 0.2500 0.1065 0.0000
Sr1 Sr 0.0037 0.6864 0.9634
Sr2 Sr 0.2500 0.5047 0.0000
Sr3 Sr 0.2500 0.6141 0.5129
Pd1 Pd 0.0000 0.0000 0.2114
Pd2 Pd 0.2500 0.7390 0.2270
```